Computed powder XRD pattern of HoMnReSi2 for λ = 1.5418 Å (Cu Kα), from DFT lattice parameters and positions (PBE).
Lines closer than 0.1° are merged.

Atomic structure:
a = 5.932 Å, b = 5.932 Å, c = 5.932 Å
α = 140.82°, β = 140.82°, γ = 56.61°
Atoms (fractional coordinates):
Ho1 0.000 0.000 0.000
Mn1 0.250 0.750 0.500
Re1 0.750 0.250 0.500
Si1 0.384 0.384 0.000
Si2 0.616 0.616 0.000

Top 12 peaks for 2θ = 10–90°, low angle first:
2θ (°)	I (rel.)
23.94	52
34.23	38
34.34	21
36.28	100
45.61	33
49.27	16
52.16	14
58.28	35
62.77	18
69.39	11
77.00	12
78.16	21